# 1
The following is a computed XRD peak list of La3Cd2Pd6. It was derived from a crystal structure in Alexandria, relaxed with GGA-PBE, using a wavelength of 1.5418 Å.

Most intense lines, 2θ from 10° to 90°, by angle:
| Position (°2θ) | d [Å] | intensity | hkl |
| --- | --- | --- | --- |
| 12.61 | 7.020 | 24 | 1 1 0 |
| 28.43 | 3.140 | 14 | 3 1 0 |
| 31.21 | 2.866 | 23 | 2 2 2 |
| 33.78 | 2.653 | 20 | 3 2 1 |
| 36.19 | 2.482 | 11 | 4 0 0 |
| 38.47 | 2.340 | 100 | 3 3 0 |
| 40.64 | 2.220 | 19 | 4 2 0 |
| 62.00 | 1.497 | 12 | 6 2 2 |
| 69.58 | 1.351 | 30 | 6 3 3 |
| 82.43 | 1.170 | 11 | 6 6 0 |

Lattice parameters (Å, degrees): 9.9282 9.9282 9.9282 90.00 90.00 90.00
Space group Im-3m (No. 229)
Asymmetric unit:
1 La 0.0000 0.0000 0.3027 x12
2 Cd 0.2500 0.2500 0.2500 x8
3 Pd 0.0000 0.3437 0.3437 x24

=====

# 2
The following is a computed XRD peak list of LaCdPd6. It was derived from a crystal structure in Alexandria, relaxed with GGA-PBE, using a wavelength of 1.5418 Å.

Most intense lines, 2θ from 10° to 90°, by angle:
| Position (°2θ) | d [Å] | intensity | hkl |
| --- | --- | --- | --- |
| 34.09 | 2.630 | 40 | 2 0 0 |
| 38.26 | 2.352 | 100 | 2 1 0 |
| 42.08 | 2.147 | 89 | 2 1 1 |
| 61.03 | 1.518 | 7 | 2 2 2 |
| 63.80 | 1.459 | 22 | 3 0 2 |
| 66.52 | 1.406 | 44 | 3 2 1 |
| 71.79 | 1.315 | 16 | 4 0 0 |
| 81.91 | 1.176 | 12 | 4 2 0 |
| 84.39 | 1.148 | 20 | 4 2 1 |
| 86.86 | 1.121 | 11 | 3 3 2 |

Lattice parameters (Å, degrees): 5.2597 5.2597 5.2597 90.00 90.00 90.00
Space group Pm-3 (No. 200)
Asymmetric unit:
1 La 0.0000 0.0000 0.0000 x1
2 Cd 0.5000 0.5000 0.5000 x1
3 Pd 0.0000 0.2541 0.5000 x6

=====

# 3
The following is a computed XRD peak list of LaCd7Pd5. It was derived from a crystal structure in Alexandria, relaxed with GGA-PBE, using a wavelength of 1.5418 Å.

Most intense lines, 2θ from 10° to 90°, by angle:
| Position (°2θ) | d [Å] | intensity | hkl |
| --- | --- | --- | --- |
| 31.37 | 2.851 | 22 | 2 0 0 |
| 32.10 | 2.788 | 47 | 1 3 0 |
| 36.67 | 2.450 | 79 | 2 2 0 |
| 37.32 | 2.409 | 100 | 1 3 2 |
| 37.54 | 2.396 | 68 | 0 0 4 |
| 41.38 | 2.182 | 89 | 2 2 2 |
| 41.99 | 2.152 | 30 | 1 1 4 |
| 42.16 | 2.143 | 43 | 0 4 2 |
| 59.81 | 1.546 | 23 | 3 3 2 |
| 65.48 | 1.425 | 20 | 4 0 0 |

Lattice parameters (Å, degrees): 5.7028 9.5959 9.5727 90.00 90.00 90.00
Space group Imm2 (No. 44)
Asymmetric unit:
1 La 0.0000 0.0000 0.0000 x2
2 Cd 0.0000 0.0000 0.3237 x2
3 Cd 0.0000 0.0000 0.6366 x2
4 Cd 0.0000 0.2940 0.4448 x4
5 Cd 0.0000 0.3433 0.9300 x4
6 Cd 0.0000 0.5000 0.2147 x2
7 Pd 0.0000 0.5000 0.6628 x2
8 Pd 0.2449 0.2463 0.1898 x8

=====

# 4
The following is a computed XRD peak list of La3Pm4Cd2. It was derived from a crystal structure in Alexandria, relaxed with GGA-PBE, using a wavelength of 1.5418 Å.

Most intense lines, 2θ from 10° to 90°, by angle:
| Position (°2θ) | d [Å] | intensity | hkl |
| --- | --- | --- | --- |
| 27.16 | 3.283 | 61 | 1 3 -1 |
| 29.59 | 3.019 | 59 | 5 1 0 |
| 30.15 | 2.964 | 88 | 1 1 2 |
| 31.09 | 2.877 | 100 | 3 3 -1 |
| 31.29 | 2.858 | 53 | 5 1 -1 |
| 32.14 | 2.785 | 76 | 4 2 1 |
| 32.88 | 2.724 | 97 | 2 4 0 |
| 34.06 | 2.632 | 47 | 4 0 -2 |
| 36.36 | 2.471 | 45 | 1 3 -2 |
| 41.94 | 2.154 | 30 | 6 2 1 |

Lattice parameters (Å, degrees): 15.7408 11.6208 6.4454 90.00 96.74 90.00
Space group C2/c (No. 15)
Asymmetric unit:
1 La 0.0000 0.0403 0.2500 x4
2 La 0.1002 0.4265 0.4419 x8
3 Pm 0.0687 0.2489 0.9834 x8
4 Pm 0.1799 0.1220 0.6045 x8
5 Cd 0.2489 0.3606 0.8648 x8

=====

# 5
The following is a computed XRD peak list of LaPm6Cd. It was derived from a crystal structure in Alexandria, relaxed with GGA-PBE, using a wavelength of 1.5418 Å.

Most intense lines, 2θ from 10° to 90°, by angle:
| Position (°2θ) | d [Å] | intensity | hkl |
| --- | --- | --- | --- |
| 30.46 | 2.935 | 100 | 1 1 4 |
| 34.36 | 2.610 | 18 | 0 0 8 |
| 35.79 | 2.509 | 33 | 2 0 0 |
| 50.45 | 1.809 | 24 | 2 0 8 |
| 51.51 | 1.774 | 11 | 2 2 0 |
| 59.13 | 1.562 | 15 | 1 1 12 |
| 61.03 | 1.518 | 27 | 3 1 4 |
| 63.39 | 1.467 | 12 | 2 2 8 |
| 82.22 | 1.172 | 12 | 3 1 12 |
| 83.88 | 1.153 | 6 | 3 3 4 |

Lattice parameters (Å, degrees): 5.0178 5.0178 20.8817 90.00 90.00 90.00
Space group I4/mmm (No. 139)
Asymmetric unit:
1 La 0.0000 0.0000 0.0000 x2
2 Pm 0.0000 0.0000 0.2474 x4
3 Pm 0.0000 0.5000 0.1236 x8
4 Cd 0.0000 0.0000 0.5000 x2

=====

# 6
The following is a computed XRD peak list of La3Pm3Cd2. It was derived from a crystal structure in Alexandria, relaxed with GGA-PBE, using a wavelength of 1.5418 Å.

Most intense lines, 2θ from 10° to 90°, by angle:
| Position (°2θ) | d [Å] | intensity | hkl |
| --- | --- | --- | --- |
| 27.59 | 3.233 | 24 | 1 3 0 |
| 28.58 | 3.123 | 100 | 1 1 4 |
| 29.79 | 3.000 | 30 | 1 3 2 |
| 30.17 | 2.962 | 28 | 0 4 1 |
| 31.71 | 2.822 | 21 | 0 4 2 |
| 32.34 | 2.768 | 77 | 1 3 3 |
| 32.89 | 2.723 | 65 | 2 0 0 |
| 33.20 | 2.698 | 50 | 1 1 5 |
| 39.53 | 2.280 | 18 | 1 3 5 |
| 45.24 | 2.004 | 22 | 2 4 1 |

Lattice parameters (Å, degrees): 5.4459 12.0533 16.0754 90.00 90.00 90.00
Space group Cmcm (No. 63)
Asymmetric unit:
1 La 0.0000 0.0372 0.1092 x8
2 La 0.0000 0.2766 0.2500 x4
3 Pm 0.0000 0.3577 0.0319 x8
4 Pm 0.0000 0.4550 0.7500 x4
5 Cd 0.0000 0.2341 0.6369 x8

=====

# 7
The following is a computed XRD peak list of La2Pm2Cd3. It was derived from a crystal structure in Alexandria, relaxed with GGA-PBE, using a wavelength of 1.5418 Å.

Most intense lines, 2θ from 10° to 90°, by angle:
| Position (°2θ) | d [Å] | intensity | hkl |
| --- | --- | --- | --- |
| 10.09 | 8.770 | 5 | 0 0 1 |
| 23.44 | 3.795 | 6 | 1 1 2 |
| 33.31 | 2.690 | 100 | 2 1 1 |
| 33.41 | 2.682 | 19 | 0 1 3 |
| 47.67 | 1.908 | 7 | 0 2 -2 |
| 47.94 | 1.898 | 14 | 2 2 4 |
| 59.44 | 1.555 | 14 | 0 3 1 |
| 59.60 | 1.551 | 21 | 3 3 2 |
| 69.90 | 1.346 | 6 | 2 4 2 |
| 79.48 | 1.206 | 5 | 1 4 -1 |

Lattice parameters (Å, degrees): 5.3713 5.3818 9.2922 73.49 73.29 60.12
Space group P-1 (No. 2)
Asymmetric unit:
1 La 0.1311 0.1305 0.1079 x2
2 Pm 0.3810 0.3806 0.3578 x2
3 Cd 0.0000 0.0000 0.5000 x1
4 Cd 0.2568 0.2567 0.7291 x2

=====

# 8
The following is a computed XRD peak list of La2PmCd4. It was derived from a crystal structure in Alexandria, relaxed with GGA-PBE, using a wavelength of 1.5418 Å.

Most intense lines, 2θ from 10° to 90°, by angle:
| Position (°2θ) | d [Å] | intensity | hkl |
| --- | --- | --- | --- |
| 19.23 | 4.615 | 6 | 1 0 1 |
| 20.07 | 4.425 | 5 | 0 0 6 |
| 33.07 | 2.709 | 100 | 1 1 0 |
| 47.46 | 1.916 | 18 | 2 0 8 |
| 58.91 | 1.568 | 9 | 1 0 16 |
| 59.11 | 1.563 | 27 | 3 0 0 |
| 69.27 | 1.356 | 6 | 0 2 16 |
| 69.50 | 1.353 | 6 | 2 2 0 |
| 78.96 | 1.213 | 8 | 2 1 16 |
| 79.12 | 1.210 | 8 | 3 1 8 |

Lattice parameters (Å, degrees): 5.4103 5.4103 26.6195 90.00 90.00 120.00
Space group R-3m (No. 166, hexagonal axes)
Asymmetric unit:
1 La 0.0000 0.0000 0.2481 x6
2 Pm 0.0000 0.0000 0.0000 x3
3 Cd 0.0000 0.0000 0.1249 x6
4 Cd 0.0000 0.0000 0.3762 x6